1.
GeHF5: computed powder diffractogram (Cu Kα X-rays), based on DFT lattice parameters and positions (PBE).
Intensities are scaled so that the largest is 100.

Top 12 peaks for 2θ = 10–90°, by angle:
| 2theta | d_spacing | I (rel.) | (hkl) |
| --- | --- | --- | --- |
| 13.5 | 6.578 | 74.3 | 0 1 -1 |
| 21.6 | 4.114 | 38.1 | 1 0 0 |
| 22.1 | 4.015 | 100.0 | 0 1 1 |
| 24.0 | 3.702 | 29.4 | 0 2 -1 |
| 26.4 | 3.378 | 32.1 | 1 -1 1 |
| 27.7 | 3.224 | 56.5 | 1 1 0 |
| 31.4 | 2.846 | 22.1 | 1 -2 0 |
| 34.3 | 2.617 | 13.9 | 1 -1 2 |
| 36.2 | 2.482 | 10.6 | -1 2 1 |
| 44.4 | 2.040 | 12.0 | 1 -2 3 |
| 45.4 | 1.997 | 9.9 | 1 3 -1 |
| 63.4 | 1.466 | 10.4 | -2 1 4 |

a b c (Å): 4.304 7.421 8.276
angles (deg): 115.31 103.21 93.92
Space group P1 (No. 1)
Unique sites:
Ge: 0.000 0.000 0.000 (multiplicity 1)
Ge: 0.198 0.697 0.396 (multiplicity 1)
H: 0.144 0.354 0.712 (multiplicity 1)
H: 0.629 0.339 0.682 (multiplicity 1)
F: 0.063 0.905 0.535 (multiplicity 1)
F: 0.134 0.791 0.863 (multiplicity 1)
F: 0.318 0.200 0.137 (multiplicity 1)
F: 0.379 0.759 0.258 (multiplicity 1)
F: 0.381 0.386 0.777 (multiplicity 1)
F: 0.469 0.626 0.534 (multiplicity 1)
F: 0.727 0.069 0.861 (multiplicity 1)
F: 0.801 0.306 0.617 (multiplicity 1)
F: 0.821 0.941 0.140 (multiplicity 1)
F: 0.879 0.498 0.257 (multiplicity 1)

2.
Tb2Ho3In6: computed powder diffractogram (Cu Kα X-rays), based on DFT lattice parameters and positions (PBE).
Intensities are scaled so that the largest is 100.

Top 12 peaks for 2θ = 10–90°, by angle:
| 2theta | d_spacing | I (rel.) | (hkl) |
| --- | --- | --- | --- |
| 21.7 | 4.094 | 34.1 | 1 1 0 |
| 23.1 | 3.848 | 13.4 | 1 1 2 |
| 30.9 | 2.895 | 100.0 | 2 0 0 |
| 31.8 | 2.812 | 84.7 | 1 0 7 |
| 38.8 | 2.320 | 18.4 | 1 1 8 |
| 44.2 | 2.047 | 37.1 | 2 2 0 |
| 44.9 | 2.017 | 70.3 | 2 1 7 |
| 55.5 | 1.655 | 18.3 | 3 0 7 |
| 64.9 | 1.437 | 22.5 | 3 2 7 |
| 66.5 | 1.406 | 18.0 | 2 0 14 |
| 73.1 | 1.295 | 16.4 | 4 2 0 |
| 73.6 | 1.287 | 17.0 | 4 1 7 |

a b c (Å): 5.790 5.790 22.519
angles (deg): 90.00 90.00 90.00
Space group I4/mmm (No. 139)
Unique sites:
Tb: 0.000 0.000 0.080 (multiplicity 4)
Ho: 0.000 0.000 0.357 (multiplicity 4)
Ho: 0.000 0.000 0.500 (multiplicity 2)
In: 0.000 0.000 0.219 (multiplicity 4)
In: 0.000 0.500 0.068 (multiplicity 8)

3.
K2U2O7: computed powder diffractogram (Cu Kα X-rays), based on DFT lattice parameters and positions (PBE).
Intensities are scaled so that the largest is 100.

Top 12 peaks for 2θ = 10–90°, by angle:
| 2theta | d_spacing | I (rel.) | (hkl) |
| --- | --- | --- | --- |
| 18.8 | 4.722 | 80.2 | 0 4 1 |
| 21.0 | 4.240 | 62.4 | 1 1 0 |
| 23.0 | 3.859 | 55.4 | 0 6 1 |
| 27.0 | 3.305 | 25.3 | 1 3 1 |
| 29.4 | 3.042 | 30.7 | 0 0 2 |
| 29.5 | 3.023 | 100.0 | 1 5 1 |
| 29.8 | 2.995 | 21.6 | 0 10 0 |
| 42.4 | 2.134 | 32.3 | 0 10 2 |
| 45.6 | 1.988 | 27.0 | 1 9 2 |
| 52.2 | 1.752 | 34.9 | 2 0 2 |
| 52.8 | 1.734 | 24.5 | 1 15 1 |
| 61.3 | 1.512 | 21.7 | 2 10 2 |

a b c (Å): 4.283 29.948 6.084
angles (deg): 90.00 90.00 90.00
Space group Cmc2_1 (No. 36)
Unique sites:
K: 0.000 0.053 0.000 (multiplicity 4)
K: 0.000 0.217 0.499 (multiplicity 4)
U: 0.000 0.346 0.499 (multiplicity 4)
U: 0.000 0.449 0.000 (multiplicity 4)
O: 0.000 0.047 0.500 (multiplicity 4)
O: 0.000 0.147 0.000 (multiplicity 4)
O: 0.000 0.302 0.270 (multiplicity 4)
O: 0.000 0.302 0.727 (multiplicity 4)
O: 0.000 0.404 0.753 (multiplicity 4)
O: 0.000 0.405 0.248 (multiplicity 4)
O: 0.000 0.500 0.249 (multiplicity 4)

4.
La3Ta2S2N5: computed powder diffractogram (Cu Kα X-rays), based on DFT lattice parameters and positions (PBE).
Intensities are scaled so that the largest is 100.

Top 12 peaks for 2θ = 10–90°, by angle:
| 2theta | d_spacing | I (rel.) | (hkl) |
| --- | --- | --- | --- |
| 15.2 | 5.814 | 14.9 | 0 0 4 |
| 29.0 | 3.081 | 92.8 | 1 0 5 |
| 30.7 | 2.908 | 100.0 | 1 1 0 |
| 34.7 | 2.584 | 84.8 | 1 0 7 |
| 44.0 | 2.056 | 50.2 | 2 0 0 |
| 46.9 | 1.938 | 17.3 | 0 0 12 |
| 53.6 | 1.710 | 35.1 | 2 1 5 |
| 57.1 | 1.613 | 25.6 | 1 1 12 |
| 57.3 | 1.609 | 40.2 | 2 1 7 |
| 64.0 | 1.454 | 15.2 | 2 2 0 |
| 66.3 | 1.410 | 20.5 | 2 0 12 |
| 72.7 | 1.300 | 18.5 | 3 1 0 |

a b c (Å): 4.112 4.112 23.255
angles (deg): 90.00 90.00 90.00
Space group I4/mmm (No. 139)
Unique sites:
La: 0.000 0.000 0.000 (multiplicity 2)
La: 0.000 0.000 0.167 (multiplicity 4)
Ta: 0.000 0.000 0.415 (multiplicity 4)
S: 0.000 0.000 0.298 (multiplicity 4)
N: 0.000 0.000 0.500 (multiplicity 2)
N: 0.000 0.500 0.093 (multiplicity 8)

5.
RbLi4Nd3I12: computed powder diffractogram (Cu Kα X-rays), based on DFT lattice parameters and positions (PBE).
Intensities are scaled so that the largest is 100.

Top 12 peaks for 2θ = 10–90°, by angle:
| 2theta | d_spacing | I (rel.) | (hkl) |
| --- | --- | --- | --- |
| 10.4 | 8.489 | 43.1 | 1 1 0 |
| 17.9 | 4.943 | 25.3 | 2 1 1 |
| 20.4 | 4.358 | 15.0 | 2 0 2 |
| 23.3 | 3.816 | 33.3 | 1 3 1 |
| 24.7 | 3.607 | 12.9 | 0 0 3 |
| 27.4 | 3.257 | 100.0 | 3 1 2 |
| 31.6 | 2.830 | 13.8 | 3 3 0 |
| 34.7 | 2.584 | 19.9 | 5 0 2 |
| 38.2 | 2.355 | 16.7 | 5 2 0 |
| 40.0 | 2.254 | 36.2 | 1 3 4 |
| 42.6 | 2.122 | 26.5 | 4 4 0 |
| 46.4 | 1.958 | 20.5 | 0 7 2 |

a b c (Å): 16.9772 16.9772 10.8223
angles (deg): 90.00 90.00 120.00
Space group R32 (No. 155, hexagonal axes)
Unique sites:
Rb: 0.0000 0.0000 0.0000 (multiplicity 3)
Li: 0.0000 0.0000 0.5000 (multiplicity 3)
Li: 0.0000 0.4099 0.5000 (multiplicity 9)
Nd: 0.0000 0.5816 0.0000 (multiplicity 9)
I: 0.0000 0.5737 0.5000 (multiplicity 9)
I: 0.0000 0.8439 0.5000 (multiplicity 9)
I: 0.0700 0.2341 0.1685 (multiplicity 18)

6.
Ta3AlB8: computed powder diffractogram (Cu Kα X-rays), based on DFT lattice parameters and positions (PBE).
Intensities are scaled so that the largest is 100.

Top 12 peaks for 2θ = 10–90°, by angle:
| 2theta | d_spacing | I (rel.) | (hkl) |
| --- | --- | --- | --- |
| 13.0 | 6.810 | 19.4 | 0 0 2 |
| 26.2 | 3.405 | 43.5 | 0 0 4 |
| 34.0 | 2.640 | 78.8 | 1 0 0 |
| 34.6 | 2.592 | 13.5 | 1 0 1 |
| 36.5 | 2.462 | 10.7 | 1 0 2 |
| 43.4 | 2.086 | 100.0 | 1 0 4 |
| 60.8 | 1.524 | 20.1 | 1 1 0 |
| 65.2 | 1.431 | 24.5 | 1 0 8 |
| 67.3 | 1.391 | 20.5 | 1 1 4 |
| 71.5 | 1.320 | 9.5 | 2 0 0 |
| 77.6 | 1.231 | 18.2 | 2 0 4 |
| 85.5 | 1.136 | 17.4 | 1 1 8 |

a b c (Å): 3.0486 3.0486 13.6207
angles (deg): 90.00 90.00 120.00
Space group P6/mmm (No. 191)
Unique sites:
Ta: 0.0000 0.0000 0.0000 (multiplicity 1)
Ta: 0.0000 0.0000 0.2467 (multiplicity 2)
Al: 0.0000 0.0000 0.5000 (multiplicity 1)
B: 0.3333 0.6667 0.1250 (multiplicity 4)
B: 0.3333 0.6667 0.3792 (multiplicity 4)

7.
ThInHg6: computed powder diffractogram (Cu Kα X-rays), based on DFT lattice parameters and positions (PBE).
Intensities are scaled so that the largest is 100.

Top 12 peaks for 2θ = 10–90°, by angle:
| 2theta | d_spacing | I (rel.) | (hkl) |
| --- | --- | --- | --- |
| 30.7 | 2.915 | 15.3 | 1 0 3 |
| 32.9 | 2.723 | 47.4 | 1 0 -2 |
| 33.1 | 2.703 | 46.8 | 1 1 3 |
| 33.3 | 2.690 | 46.0 | 0 1 -3 |
| 35.0 | 2.567 | 51.3 | 1 -1 1 |
| 35.3 | 2.542 | 100.0 | 2 1 1 |
| 48.6 | 1.874 | 16.2 | 0 2 2 |
| 49.3 | 1.849 | 15.6 | 2 0 4 |
| 49.4 | 1.844 | 15.3 | 2 2 -2 |
| 61.9 | 1.499 | 18.6 | 2 3 3 |
| 62.2 | 1.493 | 15.7 | 3 2 4 |
| 63.0 | 1.476 | 15.4 | 3 0 2 |

a b c (Å): 5.080 5.088 9.561
angles (deg): 89.63 74.77 60.66
Space group P-1 (No. 2)
Unique sites:
Th: 0.000 0.000 0.000 (multiplicity 1)
In: 0.000 0.500 0.500 (multiplicity 1)
Hg: 0.232 0.383 0.155 (multiplicity 2)
Hg: 0.242 0.882 0.629 (multiplicity 2)
Hg: 0.466 0.267 0.798 (multiplicity 2)

8.
ScCu2I6: computed powder diffractogram (Cu Kα X-rays), based on DFT lattice parameters and positions (PBE).
Intensities are scaled so that the largest is 100.

Top 12 peaks for 2θ = 10–90°, by angle:
| 2theta | d_spacing | I (rel.) | (hkl) |
| --- | --- | --- | --- |
| 25.4 | 3.511 | 46.5 | 2 0 -2 |
| 25.9 | 3.445 | 100.0 | 1 3 1 |
| 26.1 | 3.409 | 52.5 | 4 0 0 |
| 29.8 | 3.001 | 28.7 | 2 0 2 |
| 29.9 | 2.984 | 59.0 | 3 3 -1 |
| 42.2 | 2.140 | 43.6 | 1 3 -3 |
| 42.7 | 2.116 | 21.1 | 6 0 -2 |
| 43.0 | 2.104 | 20.8 | 0 6 0 |
| 43.2 | 2.093 | 40.5 | 5 3 1 |
| 50.2 | 1.818 | 18.8 | 5 3 -3 |
| 50.5 | 1.806 | 27.9 | 3 3 3 |
| 51.0 | 1.790 | 28.9 | 4 6 0 |

a b c (Å): 13.878 12.624 7.454
angles (deg): 90.00 100.76 90.00
Space group C2/c (No. 15)
Unique sites:
Sc: 0.000 0.099 0.250 (multiplicity 4)
Cu: 0.177 0.424 0.323 (multiplicity 8)
I: 0.118 0.077 0.618 (multiplicity 8)
I: 0.124 0.414 0.630 (multiplicity 8)
I: 0.130 0.246 0.144 (multiplicity 8)

9.
B2O3F: computed powder diffractogram (Cu Kα X-rays), based on DFT lattice parameters and positions (PBE).
Intensities are scaled so that the largest is 100.

Top 12 peaks for 2θ = 10–90°, by angle:
| 2theta | d_spacing | I (rel.) | (hkl) |
| --- | --- | --- | --- |
| 19.4 | 4.568 | 56.7 | 0 1 -1 |
| 24.6 | 3.617 | 100.0 | 0 1 1 |
| 24.9 | 3.582 | 34.6 | 0 0 2 |
| 27.1 | 3.295 | 14.4 | 0 1 -2 |
| 28.0 | 3.184 | 12.1 | 1 0 1 |
| 34.6 | 2.589 | 12.1 | 0 1 2 |
| 36.0 | 2.497 | 10.4 | -1 1 2 |
| 36.5 | 2.462 | 11.5 | 1 1 1 |
| 38.3 | 2.348 | 13.6 | 1 -1 2 |
| 38.8 | 2.320 | 15.1 | 1 1 -3 |
| 42.3 | 2.136 | 16.2 | 2 0 -1 |
| 42.6 | 2.121 | 9.9 | 1 -2 1 |

a b c (Å): 4.274 4.996 7.686
angles (deg): 103.38 105.84 91.36
Space group P1 (No. 1)
Unique sites:
B: 0.000 0.000 0.000 (multiplicity 1)
B: 0.083 0.586 0.449 (multiplicity 1)
B: 0.538 0.000 0.000 (multiplicity 1)
B: 0.627 0.415 0.547 (multiplicity 1)
O: 0.227 0.112 0.909 (multiplicity 1)
O: 0.311 0.888 0.091 (multiplicity 1)
O: 0.398 0.551 0.448 (multiplicity 1)
O: 0.709 0.815 0.888 (multiplicity 1)
O: 0.829 0.185 0.112 (multiplicity 1)
O: 0.945 0.452 0.549 (multiplicity 1)
F: 0.554 0.233 0.637 (multiplicity 1)
F: 0.930 0.766 0.357 (multiplicity 1)

10.
GdPaMn: computed powder diffractogram (Cu Kα X-rays), based on DFT lattice parameters and positions (PBE).
Intensities are scaled so that the largest is 100.

Top 12 peaks for 2θ = 10–90°, by angle:
| 2theta | d_spacing | I (rel.) | (hkl) |
| --- | --- | --- | --- |
| 17.6 | 5.028 | 9.6 | 0 0 1 |
| 25.3 | 3.515 | 16.2 | 1 0 0 |
| 31.0 | 2.881 | 100.0 | 1 0 1 |
| 35.7 | 2.514 | 20.2 | 0 0 2 |
| 44.3 | 2.045 | 7.8 | 1 0 2 |
| 44.7 | 2.029 | 32.5 | 1 1 0 |
| 55.4 | 1.659 | 20.0 | 2 0 1 |
| 58.4 | 1.579 | 29.3 | 1 1 2 |
| 61.3 | 1.513 | 14.8 | 1 0 3 |
| 73.8 | 1.284 | 17.2 | 2 1 1 |
| 78.9 | 1.213 | 7.2 | 2 0 3 |
| 82.3 | 1.172 | 5.5 | 3 0 0 |

a b c (Å): 4.0588 4.0588 5.0283
angles (deg): 90.00 90.00 120.00
Space group P-6m2 (No. 187)
Unique sites:
Gd: 0.0000 0.0000 0.0000 (multiplicity 1)
Pa: 0.6667 0.3333 0.5000 (multiplicity 1)
Mn: 0.3333 0.6667 0.5000 (multiplicity 1)